1.
Structure and computed XRD peak list of RbGa2Au3 (a PBE-relaxed structure; Cu Kα (λ = 1.5418 Å)).
Kinematic intensities with the Lorentz-polarization factor, no thermal factor.

Largest 8 diffraction maxima, low angle first, 10° ≤ 2θ ≤ 90°:
| 2θ (°) | intensity |
| --- | --- |
| 13.92 | 78 |
| 28.03 | 64 |
| 30.11 | 100 |
| 30.57 | 68 |
| 31.42 | 66 |
| 40.97 | 70 |
| 41.32 | 62 |
| 43.02 | 66 |

Cell and atoms:
```
data_RbGa2Au3
_space_group_name_H-M_alt 'P n m a'
_space_group_IT_number 62
_cell_length_a 13.636
_cell_length_b 5.693
_cell_length_c 7.195
_cell_angle_alpha 90.00
_cell_angle_beta 90.00
_cell_angle_gamma 90.00
loop_
_space_group_symop_operation_xyz
'x,y,z'
'-x,-y,-z'
'-x+1/2,-y,z+1/2'
'x+1/2,y,-z+1/2'
'x+1/2,-y+1/2,-z+1/2'
'-x+1/2,y+1/2,z+1/2'
'-x,y+1/2,-z'
'x,-y+1/2,z'
loop_
_atom_site_label
_atom_site_fract_x
_atom_site_fract_y
_atom_site_fract_z
Rb1 0.073 0.250 0.100
Ga1 0.155 0.502 0.605
Au1 0.007 0.750 0.421
Au2 0.211 0.750 0.301
Au3 0.215 0.750 0.890
```

=====

2.
Structure and computed XRD peak list of RbCaCl3 (a PBE-relaxed structure; Cu Kα (λ = 1.5418 Å)).
Kinematic intensities with the Lorentz-polarization factor, no thermal factor.

Largest 8 diffraction maxima, low angle first, 10° ≤ 2θ ≤ 90°:
| 2θ (°) | intensity |
| --- | --- |
| 23.19 | 76 |
| 28.50 | 84 |
| 33.02 | 100 |
| 40.74 | 35 |
| 47.39 | 66 |
| 56.23 | 31 |
| 58.95 | 16 |
| 78.90 | 22 |

Cell and atoms:
```
data_RbCaCl3
_space_group_name_H-M_alt 'C 1 m 1'
_space_group_IT_number 8
_cell_length_a 7.670
_cell_length_b 7.677
_cell_length_c 5.424
_cell_angle_alpha 90.00
_cell_angle_beta 90.10
_cell_angle_gamma 90.00
loop_
_space_group_symop_operation_xyz
'x,y,z'
'x,-y,z'
'x+1/2,y+1/2,z'
'x+1/2,-y+1/2,z'
loop_
_atom_site_label
_atom_site_fract_x
_atom_site_fract_y
_atom_site_fract_z
Rb1 0.000 0.000 0.000
Ca1 0.000 0.500 0.511
Cl1 0.251 0.252 0.512
Cl2 0.492 0.000 0.011
```

=====

3.
Structure and computed XRD peak list of LiCa2Si3 (a PBE-relaxed structure; Cu Kα (λ = 1.5418 Å)).
Kinematic intensities with the Lorentz-polarization factor, no thermal factor.

Largest 8 diffraction maxima, low angle first, 10° ≤ 2θ ≤ 90°:
| 2θ (°) | intensity |
| --- | --- |
| 15.78 | 42 |
| 31.00 | 100 |
| 32.73 | 99 |
| 33.72 | 42 |
| 35.90 | 40 |
| 39.08 | 38 |
| 41.34 | 64 |
| 46.03 | 40 |

Cell and atoms:
```
data_LiCa2Si3
_space_group_name_H-M_alt 'P n n m'
_space_group_IT_number 58
_cell_length_a 10.530
_cell_length_b 11.234
_cell_length_c 4.368
_cell_angle_alpha 90.00
_cell_angle_beta 90.00
_cell_angle_gamma 90.00
loop_
_space_group_symop_operation_xyz
'x,y,z'
'-x,-y,-z'
'-x,-y,z'
'x,y,-z'
'x+1/2,-y+1/2,-z+1/2'
'-x+1/2,y+1/2,z+1/2'
'-x+1/2,y+1/2,-z+1/2'
'x+1/2,-y+1/2,z+1/2'
loop_
_atom_site_label
_atom_site_fract_x
_atom_site_fract_y
_atom_site_fract_z
Li1 0.138 0.218 0.000
Ca1 0.051 0.651 0.500
Ca2 0.178 0.926 0.000
Si1 0.035 0.099 0.500
Si2 0.109 0.460 0.000
Si3 0.245 0.633 0.000
```